Entry 1:
Calculated X-ray diffraction stick pattern
Compound: ScAgC
Radiation: Cu Ka
Structure: a cell relaxed with GGA-PBE
Intensities are scaled so that the largest is 100.

Principal peaks in the range 10 to 90 degrees two-theta, in order of rising 2θ:
11.34°, d 7.805, I = 100
32.14°, d 2.785, I = 24
35.25°, d 2.546, I = 64
36.44°, d 2.465, I = 37
37.03°, d 2.428, I = 70
37.87°, d 2.376, I = 35
40.56°, d 2.224, I = 26
44.02°, d 2.057, I = 28
54.64°, d 1.680, I = 13
66.60°, d 1.404, I = 11

Structural model:
```
ScAgC
1.0
3.5385 0.0000 0.0000
0.0000 3.3596 0.0000
-0.9590 0.0000 7.8050
Sc Ag C
2 2 2
Cartesian
0.0000 0.0000 0.0000
0.8224 1.6798 2.7368
0.8231 1.6798 6.0334
2.5948 0.0000 4.6324
1.7121 0.0000 1.3145
2.6539 0.0000 2.2849
```

---

Entry 2:
Calculated X-ray diffraction stick pattern
Compound: ThU2Re9
Radiation: Cu Ka
Structure: a cell relaxed with GGA-PBE
Intensities are scaled so that the largest is 100.

Principal peaks in the range 10 to 90 degrees two-theta, in order of rising 2θ:
30.86°, d 2.898, I = 14
32.52°, d 2.753, I = 19
33.30°, d 2.691, I = 20
37.96°, d 2.370, I = 38
38.17°, d 2.358, I = 15
39.91°, d 2.259, I = 100
40.33°, d 2.236, I = 39
43.86°, d 2.064, I = 21
69.92°, d 1.345, I = 18
86.12°, d 1.129, I = 14

Structural model:
```
ThU2Re9
1.0
4.7443 -2.5733 0.0000
4.7443 2.5733 0.0000
-3.7497 0.0000 9.0392
Th U Re
1 2 9
Cartesian
0.0000 0.0000 0.0000
-0.1223 0.0000 3.9879
5.8612 0.0000 5.0513
2.2959 1.3091 2.2890
2.9555 0.0000 0.0545
3.4430 1.3091 6.7502
1.0416 0.0000 6.7986
2.8694 0.0000 4.5196
4.6973 0.0000 2.2405
2.2959 -1.3091 2.2890
2.7834 0.0000 8.9847
3.4430 -1.3091 6.7502
```